1.
The following is a calculated powder diffraction line list of NaTcAgCl6. It was derived from a crystal structure in Alexandria, relaxed with PBE, using a wavelength of 1.5418 Å.
No peak broadening, texture or thermal motion is included.

Most intense lines, 2θ from 10° to 90°, sorted by position:
2θ (°), intensity, h k l
17.1, 47, 1 0 1
21.8, 100, 1 0 2
26.7, 18, 1 1 0
30.9, 44, 1 1 2
34.7, 33, 2 0 2
41.4, 65, 1 1 4
44.3, 31, 2 1 2
47.1, 31, 3 0 0
59.8, 12, 4 -1 2
64.4, 15, 4 -2 4
83.5, 11, 4 1 4
83.7, 11, 3 0 8

Structural model:
Unit cell a=6.6864 b=6.6864 c=11.5330 alpha=90.00 beta=90.00 gamma=120.00
Space group P-31c (No. 163)
Asymmetric unit:
1 Na 0.3333 0.6667 0.2500 x2
2 Tc 0.3333 0.6667 0.7500 x2
3 Ag 0.0000 0.0000 0.0000 x2
4 Cl 0.0447 0.3746 0.6298 x12

***

2.
The following is a calculated powder diffraction line list of SrCa4Rh2. It was derived from a crystal structure in Alexandria, relaxed with PBE, using a wavelength of 1.5418 Å.
No peak broadening, texture or thermal motion is included.

Most intense lines, 2θ from 10° to 90°, sorted by position:
2θ (°), intensity, h k l
12.2, 46, 1 1 0
14.6, 62, 0 1 1
19.3, 44, 1 3 0
26.5, 38, 2 1 1
30.0, 68, 0 5 1
30.6, 71, 2 3 1
34.9, 45, 0 4 2
37.1, 100, 2 2 2
37.5, 33, 2 5 1
39.2, 35, 2 6 0
44.9, 27, 4 0 0
58.1, 21, 4 4 2

Structural model:
Unit cell a=8.069 b=16.752 c=6.510 alpha=90.00 beta=90.00 gamma=90.00
Space group Ima2 (No. 46)
Asymmetric unit:
1 Sr 0.250 0.110 0.000 x4
2 Ca 0.005 0.681 0.041 x8
3 Ca 0.250 0.507 0.999 x4
4 Ca 0.250 0.611 0.489 x4
5 Rh 0.000 0.000 0.789 x4
6 Rh 0.250 0.741 0.777 x4

***

3.
The following is a calculated powder diffraction line list of Ca4MgTe5. It was derived from a crystal structure in Alexandria, relaxed with PBE, using a wavelength of 1.5418 Å.
No peak broadening, texture or thermal motion is included.

Most intense lines, 2θ from 10° to 90°, sorted by position:
2θ (°), intensity, h k l
24.4, 51, 0 1 5
28.3, 100, 1 0 10
40.4, 73, 1 1 0
47.8, 18, 1 1 15
47.8, 7, 2 0 5
49.9, 6, 0 0 30
50.1, 20, 0 2 10
58.5, 11, 2 0 20
64.4, 8, 1 2 5
66.1, 14, 1 1 30
66.2, 17, 2 1 10
73.5, 18, 3 0 0

Structural model:
Unit cell a=4.4604 b=4.4604 c=54.7777 alpha=90.00 beta=90.00 gamma=120.00
Space group R-3m (No. 166, hexagonal axes)
Asymmetric unit:
1 Ca 0.0000 0.0000 0.1023 x6
2 Ca 0.0000 0.0000 0.2992 x6
3 Mg 0.0000 0.0000 0.5000 x3
4 Te 0.0000 0.0000 0.0000 x3
5 Te 0.0000 0.0000 0.1963 x6
6 Te 0.0000 0.0000 0.4015 x6